No. 1
Tb2Pt: theoretical X-ray powder pattern (a wavelength of 1.5418 Å), based on a cell relaxed with PBE.
Lines closer than 0.1° are merged.

Structural model:
```
Tb2Pt
1.0
0.0000 4.1486 4.1486
4.1486 0.0000 4.1486
4.1486 4.1486 0.0000
Tb Pt
4 2
Direct
0.0000 0.0000 0.0000 Tb
0.0000 0.0000 0.5000 Tb
0.0000 0.5000 0.0000 Tb
0.5000 0.0000 0.0000 Tb
0.3750 0.3750 0.3750 Pt
0.6250 0.6250 0.6250 Pt
```

Main lines, in order of rising 2θ (15 to 90 degrees two-theta):
2θ/deg	d/Å	intensity
30.47	2.933	33
35.90	2.502	100
37.55	2.395	34
54.15	1.694	13
57.74	1.597	34
63.42	1.467	29


No. 2
Y4CoPbC2: theoretical X-ray powder pattern (a wavelength of 1.5418 Å), based on a cell relaxed with PBE.
Lines closer than 0.1° are merged.

Structural model:
```
Y4CoPbC2
1.0
3.6128 0.0000 0.0000
-1.8064 3.1288 0.0000
0.0000 0.0000 14.9046
Y Co Pb C
4 1 1 2
Direct
0.0000 0.0000 0.1333 Y
0.0000 0.0000 0.8667 Y
0.6667 0.3333 0.3147 Y
0.6667 0.3333 0.6853 Y
0.6667 0.3333 0.0000 Co
0.0000 0.0000 0.5000 Pb
0.3333 0.6667 0.2292 C
0.3333 0.6667 0.7708 C
```

Main lines, in order of rising 2θ (15 to 90 degrees two-theta):
2θ/deg	d/Å	intensity
28.53	3.129	30
31.00	2.885	26
33.86	2.648	100
50.53	1.806	26
62.22	1.492	18
84.16	1.150	17


No. 3
LuSbPdC: theoretical X-ray powder pattern (a wavelength of 1.5418 Å), based on a cell relaxed with PBE.
Lines closer than 0.1° are merged.

Structural model:
```
LuSbPdC
1.0
4.4191 0.0000 0.0000
-2.2095 3.8270 0.0000
0.0000 0.0000 8.5731
Lu Sb Pd C
2 2 2 2
Direct
0.0000 0.0000 0.0000 Lu
0.3333 0.6667 0.5000 Lu
0.6667 0.3333 0.2685 Sb
0.6667 0.3333 0.7315 Sb
0.3333 0.6667 0.1628 Pd
0.3333 0.6667 0.8372 Pd
0.0000 0.0000 0.2922 C
0.0000 0.0000 0.7078 C
```

Main lines, in order of rising 2θ (15 to 90 degrees two-theta):
2θ/deg	d/Å	intensity
25.49	3.495	46
31.33	2.855	78
39.35	2.290	92
40.84	2.210	100
58.01	1.590	29
73.36	1.291	29


No. 4
Ta2BeB3: theoretical X-ray powder pattern (a wavelength of 1.5418 Å), based on a cell relaxed with PBE.
Lines closer than 0.1° are merged.

Structural model:
```
Ta2BeB3
1.0
0.0000 3.2718 5.5040
3.1815 0.0000 5.5040
3.1815 3.2718 0.0000
Ta Be B
4 2 6
Direct
0.2495 0.7505 0.2495 Ta
0.2500 0.2500 0.2500 Ta
0.7500 0.7500 0.7500 Ta
0.7505 0.2495 0.7505 Ta
0.3335 0.3335 0.6665 Be
0.6665 0.6665 0.3335 Be
0.1626 0.1626 0.8374 B
0.1629 0.6746 0.8371 B
0.3254 0.8371 0.6746 B
0.6746 0.1629 0.3254 B
0.8371 0.3254 0.1629 B
0.8374 0.8374 0.1626 B
```

Main lines, in order of rising 2θ (15 to 90 degrees two-theta):
2θ/deg	d/Å	intensity
27.26	3.272	42
32.52	2.754	90
42.93	2.107	100
58.01	1.590	22
65.25	1.430	23
66.48	1.406	24


What did the fourth record say?
Ta2BeB3: theoretical X-ray powder pattern (a wavelength of 1.5418 Å), based on a cell relaxed with PBE.
Lines closer than 0.1° are merged.

Structural model:
```
Ta2BeB3
1.0
0.0000 3.2718 5.5040
3.1815 0.0000 5.5040
3.1815 3.2718 0.0000
Ta Be B
4 2 6
Direct
0.2495 0.7505 0.2495 Ta
0.2500 0.2500 0.2500 Ta
0.7500 0.7500 0.7500 Ta
0.7505 0.2495 0.7505 Ta
0.3335 0.3335 0.6665 Be
0.6665 0.6665 0.3335 Be
0.1626 0.1626 0.8374 B
0.1629 0.6746 0.8371 B
0.3254 0.8371 0.6746 B
0.6746 0.1629 0.3254 B
0.8371 0.3254 0.1629 B
0.8374 0.8374 0.1626 B
```

Main lines, in order of rising 2θ (15 to 90 degrees two-theta):
2θ/deg	d/Å	intensity
27.26	3.272	42
32.52	2.754	90
42.93	2.107	100
58.01	1.590	22
65.25	1.430	23
66.48	1.406	24